For KTlH6Ir, a cell relaxed with PBE gives the calculated X-ray powder pattern in this record (Cu Kα, 1.54184 Å).

Principal peaks in the range 2θ = 10–90°, low angle first:
- hkl 0 0 1, 16.00°, rel. 100
- hkl 1 0 0, 19.23°, rel. 37
- hkl 1 0 1, 25.11°, rel. 97
- hkl 0 0 2, 32.32°, rel. 27
- hkl 1 1 0, 33.62°, rel. 75
- hkl 2 -1 1, 37.44°, rel. 74
- hkl 2 0 1, 42.42°, rel. 24
- hkl 2 -1 2, 47.33°, rel. 59
- hkl 3 -1 1, 55.19°, rel. 22
- hkl 1 1 3, 61.04°, rel. 19
- hkl 3 0 1, 62.66°, rel. 17
- hkl 3 0 2, 69.93°, rel. 18

Atomic structure:
Cell lengths 5.3307, 5.3307, 5.5401 Å; angles 90.00, 90.00, 120.00 degrees
Space group P312 (No. 149)
Asymmetric unit:
K 0.0000 0.0000 0.0000 [1 per cell]
Tl 0.3333 0.6667 0.5000 [1 per cell]
H 0.3974 0.1370 0.6883 [6 per cell]
Ir 0.6667 0.3333 0.5000 [1 per cell]